Starting from DFT lattice parameters and positions (GGA-PBE), the PXRD pattern of VZnRu2 was calculated for λ = 1.5418 Å (Cu Kα).
Lines closer than 0.1° are merged.

Crystal structure
```
VZnRu2
1.0
3.029 -4.236 0.000
3.029 4.236 0.000
0.000 0.000 4.242
V Zn Ru
2 2 4
Direct
0.139 0.861 0.750 V
0.861 0.139 0.250 V
0.374 0.626 0.250 Zn
0.626 0.374 0.750 Zn
0.121 0.362 0.750 Ru
0.362 0.121 0.250 Ru
0.638 0.879 0.750 Ru
0.879 0.638 0.250 Ru
```

Main lines, sorted by position (2θ = 10–90°):
2θ/deg, I (rel.)
29.5, 45
29.8, 90
42.4, 1000
42.7, 492
52.7, 37
61.2, 80
61.9, 153
70.2, 17
77.4, 153
77.9, 301